LaSm5Au6: theoretical powder diffraction line list (a wavelength of 1.5418 Å), based on a crystal structure in Alexandria, relaxed with GGA-PBE.
Lines closer than 0.1° are merged.

Structural model:
```
LaSm5Au6
1.0
5.235 0.000 0.000
0.006 7.336 0.000
2.571 0.001 7.877
La Sm Au
1 5 6
Cartesian
0.000 0.000 0.000
0.003 3.668 0.000
2.596 0.001 2.640
2.599 3.668 2.611
5.212 3.668 5.266
5.215 7.336 5.237
2.599 1.859 5.194
2.601 5.479 5.194
5.190 1.900 7.877
2.622 5.437 0.000
5.211 1.858 2.683
5.212 5.478 2.683
```

Peak list (10 most intense, 2θ = 10–80°, sorted by position)
h k l	Position (°2θ)	intensity
0 0 3	34.15	34
2 0 1	34.32	100
1 2 2	34.45	66
2 0 -2	49.00	12
2 0 4	49.31	12
0 4 0	49.71	12
1 2 -4	61.19	13
3 2 0	61.36	25
3 2 3	61.54	13
2 4 1	61.71	18